Starting from a DFT-relaxed cell (PBE, Alexandria), the powder diffraction line list of Ho5TmTh2 was simulated for copper Kα.
No peak broadening, texture or thermal motion is included.

The 10 most intense peaks (5° ≤ 2θ ≤ 70°), sorted by position:
(0 4 0), 26.95 deg, I = 20; (2 1 1), 29.23 deg, I = 12; (0 0 4), 30.15 deg, I = 41; (0 4 2), 30.96 deg, I = 17; (2 0 2), 31.30 deg, I = 100; (2 3 1), 35.08 deg, I = 22; (1 4 3), 38.07 deg, I = 35; (0 4 4), 40.88 deg, I = 13; (2 0 6), 54.30 deg, I = 12; (3 4 3), 55.73 deg, I = 12

```
data_Ho5TmTh2
_cell_length_a 6.513
_cell_length_b 13.232
_cell_length_c 11.857
_cell_angle_alpha 90.00
_cell_angle_beta 90.00
_cell_angle_gamma 90.00
_space_group_name_H-M_alt 'I m m a'
_space_group_IT_number 74
_space_group_name_Hall '-I 2b 2'
loop_
_atom_site_label
_atom_site_type_symbol
_atom_site_fract_x
_atom_site_fract_y
_atom_site_fract_z
Ho1 Ho 0.000 0.118 0.031
Ho2 Ho 0.000 0.250 0.514
Ho3 Ho 0.250 0.018 0.750
Tm1 Tm 0.000 0.250 0.794
Th1 Th 0.000 0.000 0.500
Th2 Th 0.250 0.250 0.250
```

Starting from a DFT-relaxed cell (PBE, Alexandria), the powder diffraction line list of Sm5Tm7 was simulated for copper Kα.
No peak broadening, texture or thermal motion is included.

The 10 most intense peaks (5° ≤ 2θ ≤ 70°), sorted by position:
(6 0 -3), 30.03 deg, I = 44; (0 0 4), 31.16 deg, I = 35; (3 1 1), 32.99 deg, I = 100; (6 0 1), 37.47 deg, I = 24; (6 0 -7), 49.50 deg, I = 11; (9 1 -3), 51.41 deg, I = 17; (3 1 5), 56.61 deg, I = 22; (0 2 4), 61.22 deg, I = 10; (9 1 1), 61.35 deg, I = 20; (6 2 -4), 62.36 deg, I = 11

```
data_Sm5Tm7
_cell_length_a 18.455
_cell_length_b 3.564
_cell_length_c 13.026
_cell_angle_alpha 90.00
_cell_angle_beta 118.17
_cell_angle_gamma 90.00
_space_group_name_H-M_alt 'C 1 2/m 1'
_space_group_IT_number 12
loop_
_space_group_symop_operation_xyz
'x,y,z'
'-x,-y,-z'
'-x,y,-z'
'x,-y,z'
'x+1/2,y+1/2,z'
'-x+1/2,-y+1/2,-z'
'-x+1/2,y+1/2,-z'
'x+1/2,-y+1/2,z'
loop_
_atom_site_label
_atom_site_type_symbol
_atom_site_fract_x
_atom_site_fract_y
_atom_site_fract_z
Sm1 Sm 0.000 0.000 0.000
Sm2 Sm 0.165 0.000 0.498
Sm3 Sm 0.195 0.500 0.751
Tm1 Tm 0.000 0.500 0.500
Tm2 Tm 0.028 0.000 0.750
Tm3 Tm 0.138 0.500 0.248
Tm4 Tm 0.166 0.500 0.997
```

Starting from a DFT-relaxed cell (PBE, Alexandria), the powder diffraction line list of TbNd3Sm3 was simulated for copper Kα.
No peak broadening, texture or thermal motion is included.

The 10 most intense peaks (5° ≤ 2θ ≤ 70°), sorted by position:
(0 2 1), 22.95 deg, I = 24; (2 1 1), 29.03 deg, I = 28; (2 0 2), 29.66 deg, I = 100; (3 0 0), 30.60 deg, I = 95; (0 0 3), 32.38 deg, I = 26; (1 2 2), 34.66 deg, I = 79; (2 2 0), 35.48 deg, I = 30; (0 3 3), 45.15 deg, I = 24; (3 3 0), 54.40 deg, I = 22; (5 0 2), 57.04 deg, I = 21

```
data_TbNd3Sm3
_cell_length_a 10.1201
_cell_length_b 10.1201
_cell_length_c 8.2953
_cell_angle_alpha 90.00
_cell_angle_beta 90.00
_cell_angle_gamma 120.00
_space_group_name_H-M_alt 'R 3 m'
_space_group_IT_number 160
_space_group_name_Hall 'R 3 -2"'
loop_
_atom_site_label
_atom_site_type_symbol
_atom_site_fract_x
_atom_site_fract_y
_atom_site_fract_z
Tb1 Tb 0.0000 0.0000 0.0000
Nd1 Nd 0.0634 0.5317 0.3889
Sm1 Sm 0.0945 0.5473 0.9599
```

Copy entry 3 word for word.
Starting from a DFT-relaxed cell (PBE, Alexandria), the powder diffraction line list of TbNd3Sm3 was simulated for copper Kα.
No peak broadening, texture or thermal motion is included.

The 10 most intense peaks (5° ≤ 2θ ≤ 70°), sorted by position:
(0 2 1), 22.95 deg, I = 24; (2 1 1), 29.03 deg, I = 28; (2 0 2), 29.66 deg, I = 100; (3 0 0), 30.60 deg, I = 95; (0 0 3), 32.38 deg, I = 26; (1 2 2), 34.66 deg, I = 79; (2 2 0), 35.48 deg, I = 30; (0 3 3), 45.15 deg, I = 24; (3 3 0), 54.40 deg, I = 22; (5 0 2), 57.04 deg, I = 21

```
data_TbNd3Sm3
_cell_length_a 10.1201
_cell_length_b 10.1201
_cell_length_c 8.2953
_cell_angle_alpha 90.00
_cell_angle_beta 90.00
_cell_angle_gamma 120.00
_space_group_name_H-M_alt 'R 3 m'
_space_group_IT_number 160
_space_group_name_Hall 'R 3 -2"'
loop_
_atom_site_label
_atom_site_type_symbol
_atom_site_fract_x
_atom_site_fract_y
_atom_site_fract_z
Tb1 Tb 0.0000 0.0000 0.0000
Nd1 Nd 0.0634 0.5317 0.3889
Sm1 Sm 0.0945 0.5473 0.9599
```